Diffraction record for AcPuFeO6. The powder diffraction line list is computed, not measured: it uses a structure optimized by DFT (PBE+U) and CuKα.

Peak list (10 most intense, 2θ from 10° to 90°, by angle)
h k l  d_spacing  2θ/deg  I (rel.)
1 0 0  4.707  18.9  15
1 0 1  3.549  25.1  100
1 1 0  2.717  33.0  34
2 0 1  2.158  41.9  25
2 -1 2  1.916  47.4  35
3 -1 1  1.690  54.3  25
1 0 3  1.682  54.5  12
3 0 0  1.569  58.9  10
3 1 1  1.269  74.8  10
2 1 3  1.266  75.0  10

Crystal structure
```
AcPuFeO6
1.0
5.4348 0.0000 0.0000
-2.7174 4.7067 0.0000
0.0000 0.0000 5.4045
Ac Pu Fe O
1 1 1 6
Direct
0.0000 0.0000 0.0000 Ac
0.6667 0.3333 0.5000 Pu
0.3333 0.6667 0.5000 Fe
0.0031 0.3689 0.7092 O
0.0031 0.6342 0.2908 O
0.3658 0.3689 0.2908 O
0.3658 0.9969 0.7092 O
0.6311 0.6342 0.7092 O
0.6311 0.9969 0.2908 O
```